Theoretical powder X-ray diffraction pattern of Fe6BiP6O26 for CuKα, from the GGA+U geometry in Alexandria.

```
data_Fe6BiP6O26
_cell_length_a 7.660
_cell_length_b 6.402
_cell_length_c 10.407
_cell_angle_alpha 90.00
_cell_angle_beta 100.17
_cell_angle_gamma 90.00
_space_group_name_H-M_alt 'P 1 m 1'
_space_group_IT_number 6
_space_group_name_Hall 'P -2y'
loop_
_atom_site_label
_atom_site_type_symbol
_atom_site_fract_x
_atom_site_fract_y
_atom_site_fract_z
_atom_site_occupancy
Fe1 Fe 0.000 0.000 0.000 1
Fe2 Fe 0.129 0.500 0.627 1
Fe3 Fe 0.421 0.000 0.231 1
Fe4 Fe 0.568 0.500 0.880 1
Fe5 Fe 0.781 0.254 0.428 1
Bi1 Bi 0.425 0.000 0.619 1
P1 P 0.001 0.500 0.920 1
P2 P 0.036 0.000 0.673 1
P3 P 0.089 0.000 0.324 1
P4 P 0.462 0.500 0.554 1
P5 P 0.511 0.500 0.199 1
P6 P 0.565 0.000 0.948 1
O1 O 0.042 0.303 0.005 1
O2 O 0.122 0.500 0.816 1
O3 O 0.137 0.000 0.184 1
O4 O 0.159 0.185 0.647 1
O5 O 0.271 0.500 0.480 1
O6 O 0.284 0.000 0.405 1
O7 O 0.407 0.306 0.225 1
O8 O 0.428 0.500 0.698 1
O9 O 0.435 0.000 0.044 1
O10 O 0.529 0.190 0.853 1
O11 O 0.562 0.500 0.063 1
O12 O 0.567 0.299 0.531 1
O13 O 0.651 0.000 0.345 1
O14 O 0.689 0.500 0.305 1
O15 O 0.758 0.000 0.023 1
O16 O 0.804 0.500 0.851 1
O17 O 0.863 0.000 0.569 1
O18 O 0.894 0.500 0.530 1
O19 O 0.988 0.198 0.349 1
O20 O 0.990 0.000 0.808 1
```

Main lines, by angle (2θ from 10° to 80°):
- (1 0 0), 11.74 deg, I = 39.8
- (1 0 -2), 19.18 deg, I = 100.0
- (1 0 2), 22.64 deg, I = 47.4
- (2 0 0), 23.63 deg, I = 75.0
- (2 1 0), 27.47 deg, I = 37.4
- (0 2 0), 27.87 deg, I = 62.1
- (1 2 0), 30.30 deg, I = 43.4
- (1 0 3), 30.59 deg, I = 40.1
- (2 0 -3), 32.15 deg, I = 42.9
- (0 2 3), 38.54 deg, I = 55.4